Structure and computed powder X-ray diffraction pattern of TbWO4 (a structure optimized by DFT (PBE+U); λ = 1.5418 Å (Cu Kα)).
Neutral-atom scattering factors, no anomalous dispersion.

Principal peaks in the range 2θ = 10–90°, in order of rising 2θ:
3.567 Å, intensity 60
3.455 Å, intensity 51
2.773 Å, intensity 100
2.482 Å, intensity 30
1.866 Å, intensity 41
1.833 Å, intensity 35
1.555 Å, intensity 10
1.483 Å, intensity 21
1.386 Å, intensity 11
1.125 Å, intensity 11

```
TbWO4
1.0
3.4553 -3.5667 0.0000
3.4553 3.5667 0.0000
0.0000 0.0000 3.3433
Tb W O
1 1 4
Cartesian
0.0000 0.0000 0.0000 Tb
3.4553 0.0000 1.6716 W
1.5211 0.0000 1.6716 O
3.4553 1.2621 0.0000 O
3.4553 -1.2621 0.0000 O
5.3894 0.0000 1.6716 O
```